No. 1
The following is a theoretical powder diffraction line list of Ag2Pt3. It was derived from the PBE geometry in Alexandria, using Cu Kα, 1.54184 Å.
Intensities are scaled so that the largest is 100.

Top 8 peaks for 2θ = 10–90°, in order of rising 2θ:
38.15°, d = 2.359 Å, I = 53; 38.68°, d = 2.328 Å, I = 52; 39.12°, d = 2.303 Å, I = 100; 44.83°, d = 2.022 Å, I = 34; 45.19°, d = 2.007 Å, I = 66; 65.18°, d = 1.431 Å, I = 22; 65.90°, d = 1.417 Å, I = 21; 78.79°, d = 1.215 Å, I = 32

Structure:
a b c (Å): 11.9070 11.9070 4.9292
angles (deg): 93.99 93.99 13.51
Sites, in units of the cell vectors:
Ag (0.0000, 0.0000, 0.0000)
Ag (0.2017, 0.2017, 0.4032)
Ag (0.5024, 0.5024, 0.5052)
Ag (0.9002, 0.9002, 0.3016)
Pt (0.1038, 0.1038, 0.7022)
Pt (0.2982, 0.2982, 0.0949)
Pt (0.3990, 0.3990, 0.8016)
Pt (0.6010, 0.6010, 0.1988)
Pt (0.7005, 0.7005, 0.9025)
Pt (0.8018, 0.8018, 0.6040)

No. 2
The following is a theoretical powder diffraction line list of Pr2Nd3Cd6. It was derived from the PBE geometry in Alexandria, using Cu Kα, 1.54184 Å.
Intensities are scaled so that the largest is 100.

Top 8 peaks for 2θ = 10–90°, in order of rising 2θ:
24.25°, d = 3.671 Å, I = 47; 30.91°, d = 2.893 Å, I = 58; 32.87°, d = 2.725 Å, I = 100; 33.48°, d = 2.676 Å, I = 44; 35.60°, d = 2.522 Å, I = 46; 43.78°, d = 2.068 Å, I = 55; 55.81°, d = 1.647 Å, I = 44; 60.08°, d = 1.540 Å, I = 29

Structure:
a b c (Å): 20.1398 20.1398 20.1398
angles (deg): 168.21 168.21 16.70
Sites, in units of the cell vectors:
Pr (0.1327, 0.1327, 0.0000)
Pr (0.8673, 0.8673, 0.0000)
Nd (0.3106, 0.3106, 0.0000)
Nd (0.5000, 0.5000, 0.0000)
Nd (0.6894, 0.6894, 0.0000)
Cd (0.0650, 0.5650, 0.5000)
Cd (0.2279, 0.2279, 0.0000)
Cd (0.4350, 0.9350, 0.5000)
Cd (0.5650, 0.0650, 0.5000)
Cd (0.7721, 0.7721, 0.0000)
Cd (0.9350, 0.4350, 0.5000)

No. 3
The following is a theoretical powder diffraction line list of Tb5Pr3Sb8. It was derived from the PBE geometry in Alexandria, using Cu Kα, 1.54184 Å.
Intensities are scaled so that the largest is 100.

Top 8 peaks for 2θ = 10–90°, in order of rising 2θ:
24.43°, d = 3.643 Å, I = 2; 28.29°, d = 3.155 Å, I = 100; 40.43°, d = 2.231 Å, I = 76; 50.07°, d = 1.822 Å, I = 27; 58.51°, d = 1.578 Å, I = 13; 66.23°, d = 1.411 Å, I = 35; 73.53°, d = 1.288 Å, I = 26; 87.43°, d = 1.116 Å, I = 8

Structure:
a b c (Å): 8.9220 8.9220 8.9220
angles (deg): 60.03 60.03 60.03
Sites, in units of the cell vectors:
Tb (0.0000, 0.0000, 0.0000)
Tb (0.0000, 0.5000, 0.5000)
Tb (0.5000, 0.0000, 0.5000)
Tb (0.5000, 0.5000, 0.0000)
Tb (0.5000, 0.5000, 0.5000)
Pr (0.0000, 0.0000, 0.5000)
Pr (0.0000, 0.5000, 0.0000)
Pr (0.5000, 0.0000, 0.0000)
Sb (0.2500, 0.2500, 0.7435)
Sb (0.2500, 0.7435, 0.2500)
Sb (0.2533, 0.2533, 0.2533)
Sb (0.2565, 0.7500, 0.7500)
Sb (0.7435, 0.2500, 0.2500)
Sb (0.7467, 0.7467, 0.7467)
Sb (0.7500, 0.2565, 0.7500)
Sb (0.7500, 0.7500, 0.2565)

> Number 1 is which compound?

Ag2Pt3